Structure and computed X-ray powder pattern of CsSiI3 (a cell relaxed with GGA-PBE; copper Kα).
Neutral-atom scattering factors, no anomalous dispersion.

Structure:
```
5
Lattice="4.242 2.449 3.691 -4.242 2.449 3.691 0.000 -4.899 3.691" Properties=species:S:1:pos:R:3 pbc="T T T"
Cs 0.000 0.000 0.000
Si 0.000 0.000 5.112
I -2.004 -1.157 3.802
I 2.004 -1.157 3.802
I 0.000 2.315 3.802
```

Most intense lines, 2θ from 10° to 80°, in order of falling intensity:
2θ/deg, I/Imax
25.5, 100
29.2, 88
24.1, 41
40.8, 33
49.6, 32
42.6, 30